# 1
K2CaCl4: theoretical powder diffraction line list (Cu Kα X-rays), based on a crystal structure in Alexandria, relaxed with PBE.
Neutral-atom scattering factors, no anomalous dispersion.

Top 6 peaks for 2θ from 5° to 70°, most intense first:
d = 2.808 Å, 31.87°, intensity 100; d = 2.630 Å, 34.09°, intensity 80; d = 2.995 Å, 29.83°, intensity 80; d = 3.607 Å, 24.68°, intensity 69; d = 2.137 Å, 42.30°, intensity 51; d = 6.654 Å, 13.31°, intensity 42

```
14
Lattice="7.747 0.000 0.000 0.000 12.992 0.000 0.000 0.000 4.293" Properties=species:S:1:pos:R:3 pbc="T T T"
K 0.591 2.343 0.000
K 3.283 8.840 0.000
K 4.465 4.153 0.000
K 7.156 10.649 0.000
Ca 0.000 6.496 2.146
Ca 3.874 0.000 2.146
Cl 1.013 9.018 2.146
Cl 1.733 5.898 0.000
Cl 2.140 12.395 0.000
Cl 2.861 2.522 2.146
Cl 4.886 10.470 2.146
Cl 5.607 0.598 0.000
Cl 6.014 7.094 0.000
Cl 6.734 3.974 2.146
```


# 2
K3Pu3CrSe8: theoretical powder diffraction line list (Cu Kα X-rays), based on a crystal structure in Alexandria, relaxed with PBE.
Neutral-atom scattering factors, no anomalous dispersion.

Top 6 peaks for 2θ from 5° to 70°, most intense first:
d = 7.802 Å, 11.34°, intensity 100; d = 3.050 Å, 29.28°, intensity 65; d = 3.064 Å, 29.15°, intensity 33; d = 2.266 Å, 39.78°, intensity 31; d = 2.070 Å, 43.72°, intensity 23; d = 2.441 Å, 36.82°, intensity 21

```
15
Lattice="7.181 -4.124 0.000 7.181 4.124 0.000 -4.770 0.000 7.802" Properties=species:S:1:pos:R:3 pbc="T T T"
K 0.000 0.000 0.000
K 3.591 2.062 0.000
K 3.591 -2.062 0.000
Pu 1.206 2.062 3.901
Pu 1.206 -2.062 3.901
Pu 4.796 0.000 3.901
Cr -2.385 0.000 3.901
Se -0.180 0.000 5.363
Se 3.709 2.229 5.371
Se 5.884 2.229 2.431
Se 2.394 0.000 2.282
Se 7.199 0.000 5.520
Se 3.709 -2.229 5.371
Se 5.884 -2.229 2.431
Se 9.773 0.000 2.439
```


# 3
Tb3NpO8: theoretical powder diffraction line list (Cu Kα X-rays), based on a crystal structure in Alexandria, relaxed with PBE.
Neutral-atom scattering factors, no anomalous dispersion.

Top 6 peaks for 2θ from 5° to 70°, most intense first:
d = 5.161 Å, 17.18°, intensity 100; d = 4.117 Å, 21.58°, intensity 75; d = 2.876 Å, 31.10°, intensity 44; d = 2.231 Å, 40.43°, intensity 44; d = 2.847 Å, 31.42°, intensity 43; d = 2.580 Å, 34.77°, intensity 35

```
12
Lattice="2.948 -5.338 0.000 2.948 5.338 0.000 0.000 0.000 6.828" Properties=species:S:1:pos:R:3 pbc="T T T"
Tb 0.000 0.000 0.000
Tb 1.474 2.669 5.268
Tb 1.474 -2.669 1.560
Np 0.000 0.000 3.414
O 2.948 3.347 3.414
O 1.316 0.332 4.968
O 2.948 3.097 0.000
O 1.316 -0.332 1.859
O 4.579 0.332 1.859
O 2.948 -3.097 0.000
O 4.579 -0.332 4.968
O 2.948 -3.347 3.414
```